Record 1
Diffraction record for BaNb. The powder diffraction line list is calculated, not measured: it uses a GGA-PBE-relaxed structure and Cu Ka.

Main lines, most intense first (2θ = 15–90°):
| two_theta | I/Imax |
| --- | --- |
| 29.10 | 100.0 |
| 29.40 | 76.8 |
| 33.08 | 37.3 |
| 55.93 | 29.7 |
| 21.85 | 29.4 |
| 37.19 | 23.1 |
| 31.83 | 22.7 |
| 49.30 | 22.6 |
| 42.11 | 19.3 |
| 59.12 | 15.1 |

Atomic structure:
```
BaNb
1.0
0.0000 5.3337 8.1355
3.2748 0.0000 8.1355
3.2748 5.3337 0.0000
Ba Nb
4 4
Cartesian
2.4561 0.4482 6.1017
4.0935 3.1150 10.1694
2.4561 7.5523 6.1017
4.0935 10.2192 10.1694
2.4561 4.0002 4.9923
2.4561 4.0002 7.2111
4.0935 6.6671 9.0600
4.0935 6.6671 11.2788
```

***

Record 2
Diffraction record for Te4Mo3. The powder diffraction line list is calculated, not measured: it uses a GGA-PBE-relaxed structure and Cu Ka.

Main lines, most intense first (2θ = 15–90°):
| two_theta | I/Imax |
| --- | --- |
| 41.74 | 100.0 |
| 28.32 | 70.3 |
| 30.01 | 58.9 |
| 37.06 | 43.9 |
| 46.88 | 43.1 |
| 30.42 | 35.9 |
| 39.03 | 25.8 |
| 54.30 | 24.4 |
| 24.90 | 24.3 |
| 45.57 | 21.3 |

Atomic structure:
```
Te4Mo3
1.0
5.1567 2.9772 3.9816
-5.1567 2.9772 3.9816
0.0000 -5.9544 3.9816
Te Mo
8 6
Cartesian
-1.3595 -2.9358 4.9453
0.0000 0.0000 2.5551
-3.2222 -0.2906 6.9995
-1.8628 2.6452 4.9453
1.8628 -2.6452 6.9995
3.2222 0.2906 4.9453
0.0000 0.0000 9.3897
1.3595 2.9358 6.9995
-1.5520 -0.1383 4.8226
0.8958 -1.2749 4.8226
-0.6562 -1.4132 7.1222
0.6562 1.4132 4.8226
-0.8958 1.2749 7.1222
1.5520 0.1383 7.1222
```

***

Record 3
Diffraction record for SrPbAu. The powder diffraction line list is calculated, not measured: it uses a GGA-PBE-relaxed structure and Cu Ka.

Main lines, most intense first (2θ = 15–90°):
| two_theta | I/Imax |
| --- | --- |
| 35.96 | 100.0 |
| 30.56 | 87.5 |
| 42.77 | 40.1 |
| 22.38 | 30.5 |
| 20.53 | 23.7 |
| 47.89 | 22.6 |
| 35.46 | 22.4 |
| 29.55 | 18.1 |
| 51.36 | 15.9 |
| 61.28 | 15.5 |

Atomic structure:
```
SrPbAu
1.0
5.0011 0.0000 0.0000
0.0000 15.8880 0.0000
0.0000 0.0000 8.6403
Sr Pb Au
8 8 8
Cartesian
1.2503 0.0459 1.8536
1.2503 3.9720 2.5166
1.2503 7.8981 1.8536
1.2503 11.9160 2.5252
3.7508 3.9720 6.1151
3.7508 7.9899 6.7867
3.7508 11.9160 6.1237
3.7508 15.8421 6.7867
1.2503 1.5714 5.0573
1.2503 6.3726 5.0573
1.2503 10.3199 7.9162
1.2503 13.5121 7.9162
3.7508 2.3759 0.7241
3.7508 5.5681 0.7241
3.7508 9.5154 3.5830
3.7508 14.3166 3.5830
1.2503 2.2034 7.8973
1.2503 5.7406 7.8973
1.2503 9.5815 5.0577
1.2503 14.2505 5.0577
3.7508 1.6375 3.5826
3.7508 6.3065 3.5826
3.7508 10.1474 0.7430
3.7508 13.6846 0.7430
```

***

Record 4
Diffraction record for Pr6Sn3Pd. The powder diffraction line list is calculated, not measured: it uses a GGA-PBE-relaxed structure and Cu Ka.

Main lines, most intense first (2θ = 15–90°):
| two_theta | I/Imax |
| --- | --- |
| 30.57 | 100.0 |
| 27.12 | 44.1 |
| 31.54 | 30.9 |
| 39.22 | 26.6 |
| 31.30 | 24.1 |
| 29.28 | 22.6 |
| 31.77 | 22.6 |
| 35.79 | 20.8 |
| 37.07 | 18.1 |
| 62.04 | 18.1 |

Atomic structure:
```
Pr6Sn3Pd
1.0
5.7049 -7.7246 0.0000
5.7049 7.7246 0.0000
0.0000 0.0000 7.2170
Pr Sn Pd
12 6 2
Cartesian
5.7049 6.8910 3.6085
3.6212 3.1789 0.5980
3.1869 0.7277 5.2577
5.7049 2.9775 3.8299
3.1869 -0.7277 1.6492
7.7887 3.1789 0.5980
3.6212 -3.1789 4.2065
8.2229 0.7277 5.2577
5.7049 -2.9775 0.2214
8.2229 -0.7277 1.6492
7.7887 -3.1789 4.2065
5.7049 -6.8910 0.0000
1.5571 1.8739 2.6267
1.5571 -1.8739 6.2352
5.7049 0.7213 0.1975
5.7049 -0.7213 3.8060
9.8528 1.8739 2.6267
9.8528 -1.8739 6.2352
5.7049 5.2174 1.3477
5.7049 -5.2174 4.9562
```

***

Record 5
Diffraction record for TlSe2. The powder diffraction line list is calculated, not measured: it uses a GGA-PBE-relaxed structure and Cu Ka.

Main lines, most intense first (2θ = 15–90°):
| two_theta | I/Imax |
| --- | --- |
| 30.36 | 100.0 |
| 17.39 | 74.0 |
| 31.19 | 58.0 |
| 35.19 | 53.1 |
| 63.14 | 38.9 |
| 33.60 | 38.2 |
| 36.69 | 37.6 |
| 51.76 | 32.2 |
| 50.60 | 30.2 |
| 47.73 | 26.6 |

Atomic structure:
```
TlSe2
1.0
3.5314 0.0000 0.0000
0.0000 5.3339 0.0000
0.0000 0.0000 10.2009
Tl Se
2 4
Cartesian
0.0000 0.0000 0.0000
1.7657 2.6670 5.1005
0.0000 0.0000 3.9500
0.0000 0.0000 6.2510
1.7657 2.6670 1.1505
1.7657 2.6670 9.0504
```

***

Record 6
Diffraction record for Ca2AlP3Pt7. The powder diffraction line list is calculated, not measured: it uses a GGA-PBE-relaxed structure and Cu Ka.

Main lines, most intense first (2θ = 15–90°):
| two_theta | I/Imax |
| --- | --- |
| 37.24 | 100.0 |
| 44.92 | 50.2 |
| 32.04 | 41.4 |
| 27.53 | 31.6 |
| 41.33 | 23.8 |
| 77.74 | 21.1 |
| 22.27 | 19.3 |
| 66.91 | 19.1 |
| 46.14 | 18.8 |
| 34.08 | 18.3 |

Atomic structure:
```
Ca2AlP3Pt7
1.0
-2.0181 2.0181 13.5768
2.0181 -2.0181 13.5768
2.0181 2.0181 -13.5768
Ca Al P Pt
2 1 3 7
Cartesian
0.0000 0.0000 4.5136
0.0000 0.0000 22.6400
0.0000 0.0000 0.0000
0.0000 0.0000 10.2596
0.0000 0.0000 16.8940
0.0000 2.0181 6.7884
2.0181 0.0000 1.9924
0.0000 0.0000 7.9604
2.0181 0.0000 11.5843
0.0000 0.0000 13.5768
0.0000 2.0181 1.9353
0.0000 0.0000 19.1931
0.0000 2.0181 11.6415
```

***

Record 7
Diffraction record for LiHoMg6. The powder diffraction line list is calculated, not measured: it uses a GGA-PBE-relaxed structure and Cu Ka.

Main lines, most intense first (2θ = 15–90°):
| two_theta | I/Imax |
| --- | --- |
| 33.99 | 100.0 |
| 21.70 | 73.9 |
| 29.21 | 38.9 |
| 39.21 | 33.8 |
| 67.74 | 25.9 |
| 19.32 | 25.7 |
| 27.69 | 21.9 |
| 45.26 | 21.7 |
| 57.19 | 21.5 |
| 35.64 | 21.1 |

Atomic structure:
```
LiHoMg6
1.0
4.5949 0.0000 0.0000
0.0000 4.5949 0.0000
0.0000 0.0000 9.0353
Li Ho Mg
1 1 6
Cartesian
0.0000 0.0000 0.0000
0.0000 0.0000 4.5176
0.0000 2.2974 2.1580
0.0000 2.2974 6.8773
2.2974 0.0000 2.1580
2.2974 0.0000 6.8773
2.2974 2.2974 0.0000
2.2974 2.2974 4.5176
```

***

Record 8
Diffraction record for CeThCd6. The powder diffraction line list is calculated, not measured: it uses a GGA-PBE-relaxed structure and Cu Ka.

Main lines, most intense first (2θ = 15–90°):
| two_theta | I/Imax |
| --- | --- |
| 35.30 | 100.0 |
| 30.26 | 25.5 |
| 35.93 | 21.4 |
| 66.37 | 19.7 |
| 64.17 | 16.9 |
| 47.67 | 14.3 |
| 53.80 | 12.6 |
| 65.92 | 9.8 |
| 23.31 | 7.2 |
| 53.69 | 6.3 |

Atomic structure:
```
CeThCd6
1.0
4.9990 0.0000 0.0000
0.0000 6.8290 0.0000
0.0000 0.0000 11.7979
Ce Th Cd
2 2 12
Cartesian
0.0000 0.0000 0.0000
0.0000 3.4145 5.8989
2.4995 0.0000 7.8869
2.4995 3.4145 1.9880
0.0000 0.0000 5.8053
0.0000 1.6015 3.0135
0.0000 1.8130 8.9125
0.0000 3.4145 11.7042
0.0000 5.0160 8.9125
0.0000 5.2275 3.0135
2.4995 0.0000 2.0507
2.4995 1.6287 4.8899
2.4995 1.7858 10.7888
2.4995 3.4145 7.9497
2.4995 5.0432 10.7888
2.4995 5.2003 4.8899
```

***

Record 9
Diffraction record for Eu2SbAu. The powder diffraction line list is calculated, not measured: it uses a GGA-PBE-relaxed structure and Cu Ka.

Main lines, most intense first (2θ = 15–90°):
| two_theta | I/Imax |
| --- | --- |
| 32.85 | 100.0 |
| 58.64 | 38.0 |
| 47.14 | 18.3 |
| 78.43 | 16.6 |
| 68.87 | 11.8 |
| 87.67 | 4.3 |
| 19.94 | 3.1 |
| 38.72 | 2.0 |
| 51.66 | 0.9 |
| 72.51 | 0.7 |

Atomic structure:
```
Eu2SbAu
1.0
5.4539 0.0000 0.0000
-2.7270 4.7232 0.0000
0.0000 0.0000 13.3549
Eu Sb Au
6 3 3
Cartesian
0.0000 0.0000 0.0000
0.0000 0.0000 6.6773
0.0000 3.1488 2.2257
0.0000 3.1488 8.9033
2.7270 1.5744 4.4516
2.7270 1.5744 11.1290
0.0000 0.0000 3.3369
0.0000 3.1488 12.2401
2.7270 1.5744 7.7885
0.0000 0.0000 10.0323
0.0000 3.1488 5.5806
2.7270 1.5744 1.1290
```

***

Record 10
Diffraction record for Tb4Mg3Co2. The powder diffraction line list is calculated, not measured: it uses a GGA-PBE-relaxed structure and Cu Ka.

Main lines, most intense first (2θ = 15–90°):
| two_theta | I/Imax |
| --- | --- |
| 34.12 | 100.0 |
| 33.55 | 85.5 |
| 39.66 | 59.9 |
| 23.78 | 52.0 |
| 24.11 | 50.8 |
| 41.03 | 47.1 |
| 22.98 | 46.8 |
| 31.01 | 45.9 |
| 62.24 | 33.6 |
| 37.12 | 29.2 |

Atomic structure:
```
Tb4Mg3Co2
1.0
7.5485 0.0000 0.0000
0.0000 3.6905 0.0000
-2.7626 0.0000 7.7419
Tb Mg Co
4 3 2
Cartesian
0.1165 0.0000 1.7526
1.1355 0.0000 5.2326
3.6503 0.0000 2.5092
4.6693 0.0000 5.9893
-1.3813 1.8453 3.8709
2.2139 1.8453 0.0170
2.5719 1.8453 7.7248
1.5644 1.8453 3.0312
3.2214 1.8453 4.7106
```

***

Record 11
Diffraction record for CuSn6Rh3. The powder diffraction line list is calculated, not measured: it uses a GGA-PBE-relaxed structure and Cu Ka.

Main lines, most intense first (2θ = 15–90°):
| two_theta | I/Imax |
| --- | --- |
| 40.31 | 100.0 |
| 42.97 | 75.1 |
| 29.43 | 66.4 |
| 43.08 | 62.4 |
| 29.82 | 58.5 |
| 32.75 | 51.4 |
| 32.37 | 49.7 |
| 37.30 | 49.3 |
| 29.94 | 47.4 |
| 34.67 | 44.3 |

Atomic structure:
```
CuSn6Rh3
1.0
6.9500 0.0000 0.0000
0.0000 6.6392 0.0000
-5.1302 0.0000 9.0925
Cu Sn Rh
2 12 6
Cartesian
0.0000 0.0000 0.0000
-2.5651 3.3196 4.5463
-0.8244 0.0121 2.4976
-3.3895 3.3075 7.0439
-1.2976 1.1452 5.5054
1.2674 2.1744 0.9591
-0.1779 4.2895 5.1782
2.3872 5.6693 0.6319
-0.5673 0.9699 8.4606
1.9977 2.3497 3.9143
0.5524 4.4648 8.1334
3.1175 5.4940 3.5871
5.2094 3.3317 2.0487
2.6443 6.6271 6.5949
0.6565 4.3825 2.5031
-1.9086 5.5763 7.0494
0.9099 0.0000 4.5463
3.4750 3.3196 0.0000
3.7285 1.0629 2.0432
1.1634 2.2567 6.5894
```

***

Record 12
Diffraction record for CsCl3F6. The powder diffraction line list is calculated, not measured: it uses a GGA-PBE-relaxed structure and Cu Ka.

Main lines, most intense first (2θ = 15–90°):
| two_theta | I/Imax |
| --- | --- |
| 29.24 | 100.0 |
| 24.92 | 84.9 |
| 34.31 | 33.8 |
| 42.87 | 24.9 |
| 37.77 | 21.0 |
| 23.21 | 18.7 |
| 46.66 | 12.6 |
| 33.17 | 11.9 |
| 60.65 | 10.8 |
| 38.79 | 10.3 |

Atomic structure:
```
CsCl3F6
1.0
7.1463 4.1259 1.3437
-7.1463 4.1259 1.3437
0.0000 -8.2518 1.3437
Cs Cl F
1 3 6
Cartesian
0.0000 0.0000 0.0000
-3.2830 -1.8955 3.0338
3.2830 -1.8955 3.0338
0.0000 3.7909 3.0338
0.0000 -3.0922 1.4601
-2.6779 1.5461 1.4601
-2.0364 -1.1757 1.9154
2.0364 -1.1757 1.9154
0.0000 2.3515 1.9154
2.6779 1.5461 1.4601
```